# NaMn3V4O12
Computed powder X-ray diffraction pattern, Cu Ka. Input: a crystal structure in Alexandria, relaxed with GGA+U.
No peak broadening, texture or thermal motion is included.

Crystal structure
```
data_NaMn3V4O12
_chemical_formula_sum 'Na1 Mn3 V4 O12'
_symmetry_space_group_name_H-M 'P -1'
_symmetry_Int_Tables_number 2
_symmetry_space_group_name_Hall '-P 1'
_cell_length_a 6.477
_cell_length_b 6.479
_cell_length_c 6.483
_cell_angle_alpha 108.86
_cell_angle_beta 110.39
_cell_angle_gamma 108.86
loop_
_atom_site_label
_atom_site_type_symbol
_atom_site_fract_x
_atom_site_fract_y
_atom_site_fract_z
_atom_site_occupancy
Na1 Na 0.000 0.000 0.000 1
Mn1 Mn 0.000 0.500 0.500 1
Mn2 Mn 0.500 0.000 0.500 1
Mn3 Mn 0.500 0.500 0.000 1
V1 V 0.000 0.000 0.500 1
V2 V 0.000 0.500 0.000 1
V3 V 0.500 0.000 0.000 1
V4 V 0.500 0.500 0.500 1
O1 O 0.127 0.820 0.312 1
O2 O 0.183 0.686 0.871 1
O3 O 0.196 0.322 0.504 1
O4 O 0.292 0.486 0.183 1
O5 O 0.311 0.113 0.821 1
O6 O 0.490 0.187 0.314 1
```

Largest 8 diffraction maxima, by intensity, 10 to 90 degrees two-theta:
33.89°, d 2.645, intensity 100; 34.03°, d 2.635, intensity 96; 48.30°, d 1.884, intensity 66; 33.57°, d 2.670, intensity 56; 33.69°, d 2.660, intensity 54; 60.39°, d 1.533, intensity 52; 49.27°, d 1.849, intensity 31; 60.14°, d 1.539, intensity 27